Entry 1:
Structure and calculated X-ray diffraction stick pattern of Nb4Co2PdSe12 (a PBE-relaxed structure; Cu Kα (λ = 1.5418 Å)).
Intensities are scaled so that the largest is 100.

Structural model:
Cell: 6.917 6.917 19.374 Å, 107.57 107.57 28.77°
Fractional coordinates of all 19 atoms:
Nb 0.120 0.120 0.149
Nb 0.243 0.243 0.405
Nb 0.757 0.757 0.595
Nb 0.880 0.880 0.851
Co 0.272 0.272 0.717
Co 0.728 0.728 0.283
Pd 0.500 0.500 0.000
Se 0.100 0.100 0.281
Se 0.123 0.123 0.613
Se 0.309 0.309 0.233
Se 0.310 0.310 0.927
Se 0.370 0.370 0.546
Se 0.465 0.465 0.118
Se 0.535 0.535 0.882
Se 0.630 0.630 0.454
Se 0.690 0.690 0.073
Se 0.691 0.691 0.767
Se 0.877 0.877 0.387
Se 0.900 0.900 0.719

Most intense lines, 2θ = 10–80°, low angle first:
- 2θ 13.22, rel. 100.0
- 2θ 14.24, rel. 37.3
- 2θ 35.40, rel. 60.2
- 2θ 36.25, rel. 39.1
- 2θ 40.18, rel. 46.2
- 2θ 44.27, rel. 33.3
- 2θ 50.44, rel. 25.1
- 2θ 53.32, rel. 31.3

Entry 2:
Structure and calculated X-ray diffraction stick pattern of Nb4CoPt3 (a PBE-relaxed structure; Cu Kα (λ = 1.5418 Å)).
Intensities are scaled so that the largest is 100.

Structural model:
Cell: 2.823 4.619 9.961 Å, 90.00 90.00 90.00°
Fractional coordinates of all 8 atoms:
Nb 0.000 0.000 0.000
Nb 0.000 0.000 0.482
Nb 0.000 0.500 0.179
Nb 0.000 0.500 0.670
Co 0.500 0.000 0.241
Pt 0.500 0.000 0.744
Pt 0.500 0.500 0.416
Pt 0.500 0.500 0.920

Most intense lines, 2θ = 10–80°, low angle first:
- 2θ 36.07, rel. 17.9
- 2θ 36.59, rel. 18.0
- 2θ 39.00, rel. 37.2
- 2θ 41.18, rel. 39.1
- 2θ 41.65, rel. 100.0
- 2θ 65.19, rel. 14.9
- 2θ 72.45, rel. 19.2
- 2θ 78.65, rel. 17.5

Entry 3:
Structure and calculated X-ray diffraction stick pattern of Nb2CoS4 (a PBE-relaxed structure; Cu Kα (λ = 1.5418 Å)).
Intensities are scaled so that the largest is 100.

Structural model:
Cell: 3.292 3.292 13.342 Å, 90.00 90.00 120.00°
Fractional coordinates of all 7 atoms:
Nb 0.333 0.667 0.273
Nb 0.667 0.333 0.727
Co 0.000 0.000 0.000
S 0.333 0.667 0.091
S 0.333 0.667 0.612
S 0.667 0.333 0.388
S 0.667 0.333 0.909

Most intense lines, 2θ = 10–80°, low angle first:
- 2θ 19.96, rel. 53.2
- 2θ 32.10, rel. 100.0
- 2θ 34.20, rel. 61.2
- 2θ 37.47, rel. 43.8
- 2θ 41.67, rel. 37.3
- 2θ 46.62, rel. 47.0
- 2θ 52.16, rel. 51.9
- 2θ 55.85, rel. 46.3

Entry 4:
Structure and calculated X-ray diffraction stick pattern of Nb2CoS4 (a PBE-relaxed structure; Cu Kα (λ = 1.5418 Å)).
Intensities are scaled so that the largest is 100.

Structural model:
Cell: 9.942 3.331 13.406 Å, 90.00 90.00 90.00°
Fractional coordinates of all 28 atoms:
Nb 0.017 0.250 0.092
Nb 0.142 0.750 0.403
Nb 0.358 0.250 0.903
Nb 0.483 0.750 0.592
Nb 0.517 0.250 0.408
Nb 0.642 0.750 0.097
Nb 0.858 0.250 0.597
Nb 0.983 0.750 0.908
Co 0.250 0.250 0.682
Co 0.250 0.750 0.182
Co 0.750 0.250 0.818
Co 0.750 0.750 0.318
S 0.052 0.750 0.585
S 0.123 0.250 0.821
S 0.136 0.250 0.253
S 0.199 0.750 0.013
S 0.301 0.250 0.513
S 0.364 0.750 0.753
S 0.377 0.750 0.321
S 0.448 0.250 0.085
S 0.552 0.750 0.915
S 0.623 0.250 0.679
S 0.636 0.250 0.247
S 0.699 0.750 0.487
S 0.801 0.250 0.987
S 0.864 0.750 0.747
S 0.877 0.750 0.179
S 0.948 0.250 0.415

Most intense lines, 2θ = 10–80°, low angle first:
- 2θ 31.31, rel. 61.6
- 2θ 33.05, rel. 100.0
- 2θ 38.26, rel. 68.1
- 2θ 38.92, rel. 72.7
- 2θ 43.39, rel. 67.8
- 2θ 44.32, rel. 64.1
- 2θ 47.70, rel. 58.0
- 2θ 50.14, rel. 83.8

Entry 5:
Structure and calculated X-ray diffraction stick pattern of Nb2CoS4 (a PBE-relaxed structure; Cu Kα (λ = 1.5418 Å)).
Intensities are scaled so that the largest is 100.

Structural model:
Cell: 11.726 3.351 12.992 Å, 90.00 90.00 90.00°
Fractional coordinates of all 28 atoms:
Nb 0.042 0.250 0.099
Nb 0.066 0.250 0.574
Nb 0.434 0.750 0.074
Nb 0.458 0.750 0.599
Nb 0.542 0.250 0.401
Nb 0.566 0.250 0.926
Nb 0.934 0.750 0.426
Nb 0.958 0.750 0.901
Co 0.167 0.250 0.264
Co 0.333 0.750 0.764
Co 0.667 0.250 0.236
Co 0.833 0.750 0.736
S 0.025 0.750 0.714
S 0.108 0.250 0.922
S 0.142 0.750 0.451
S 0.209 0.750 0.155
S 0.291 0.250 0.655
S 0.358 0.250 0.951
S 0.392 0.750 0.422
S 0.475 0.250 0.214
S 0.525 0.750 0.786
S 0.608 0.250 0.578
S 0.642 0.750 0.049
S 0.709 0.750 0.345
S 0.791 0.250 0.845
S 0.858 0.250 0.549
S 0.892 0.750 0.078
S 0.975 0.250 0.286

Most intense lines, 2θ = 10–80°, low angle first:
- 2θ 15.11, rel. 100.0
- 2θ 30.73, rel. 53.8
- 2θ 30.98, rel. 70.1
- 2θ 33.82, rel. 46.6
- 2θ 39.39, rel. 79.9
- 2θ 40.91, rel. 77.6
- 2θ 43.31, rel. 50.2
- 2θ 54.81, rel. 50.6

Entry 6:
Structure and calculated X-ray diffraction stick pattern of Nb4CoS8 (a PBE-relaxed structure; Cu Kα (λ = 1.5418 Å)).
Intensities are scaled so that the largest is 100.

Structural model:
Cell: 6.692 6.692 11.803 Å, 90.00 90.00 120.00°
Fractional coordinates of all 26 atoms:
Nb 0.000 0.000 0.250
Nb 0.000 0.000 0.750
Nb 0.012 0.506 0.250
Nb 0.494 0.506 0.250
Nb 0.494 0.988 0.250
Nb 0.506 0.012 0.750
Nb 0.506 0.494 0.750
Nb 0.988 0.494 0.750
Co 0.000 0.000 0.000
Co 0.000 0.000 0.500
S 0.165 0.331 0.617
S 0.165 0.331 0.883
S 0.165 0.835 0.617
S 0.165 0.835 0.883
S 0.331 0.165 0.117
S 0.331 0.165 0.383
S 0.333 0.667 0.114
S 0.333 0.667 0.386
S 0.667 0.333 0.614
S 0.667 0.333 0.886
S 0.669 0.835 0.617
S 0.669 0.835 0.883
S 0.835 0.165 0.117
S 0.835 0.165 0.383
S 0.835 0.669 0.117
S 0.835 0.669 0.383

Most intense lines, 2θ = 10–80°, low angle first:
- 2θ 15.01, rel. 68.1
- 2θ 30.86, rel. 39.8
- 2θ 31.80, rel. 18.4
- 2θ 34.48, rel. 68.2
- 2θ 38.59, rel. 14.9
- 2θ 43.78, rel. 100.0
- 2θ 54.87, rel. 37.0
- 2θ 72.70, rel. 20.5

Entry 7:
Structure and calculated X-ray diffraction stick pattern of Nb3CoSe6 (a PBE-relaxed structure; Cu Kα (λ = 1.5418 Å)).
Intensities are scaled so that the largest is 100.

Structural model:
Cell: 6.078 6.078 12.346 Å, 90.00 90.00 120.00°
Fractional coordinates of all 20 atoms:
Nb 0.000 0.000 0.000
Nb 0.000 0.000 0.500
Nb 0.333 0.667 0.000
Nb 0.333 0.667 0.500
Nb 0.667 0.333 0.000
Nb 0.667 0.333 0.500
Co 0.333 0.667 0.250
Co 0.667 0.333 0.750
Se 0.004 0.333 0.865
Se 0.004 0.670 0.635
Se 0.330 0.333 0.635
Se 0.330 0.996 0.865
Se 0.333 0.004 0.135
Se 0.333 0.330 0.365
Se 0.667 0.670 0.865
Se 0.667 0.996 0.635
Se 0.670 0.004 0.365
Se 0.670 0.667 0.135
Se 0.996 0.330 0.135
Se 0.996 0.667 0.365

Most intense lines, 2θ = 10–80°, low angle first:
- 2θ 14.35, rel. 19.9
- 2θ 30.29, rel. 54.1
- 2θ 32.85, rel. 38.0
- 2θ 36.76, rel. 50.4
- 2θ 41.71, rel. 100.0
- 2θ 52.13, rel. 52.1
- 2θ 60.71, rel. 16.0
- 2θ 68.88, rel. 21.6

Entry 8:
Structure and calculated X-ray diffraction stick pattern of Nb4CoSe8 (a PBE-relaxed structure; Cu Kα (λ = 1.5418 Å)).
Intensities are scaled so that the largest is 100.

Structural model:
Cell: 6.994 6.994 12.417 Å, 90.00 90.00 120.00°
Fractional coordinates of all 26 atoms:
Nb 0.000 0.000 0.250
Nb 0.000 0.000 0.750
Nb 0.016 0.508 0.250
Nb 0.492 0.508 0.250
Nb 0.492 0.984 0.250
Nb 0.508 0.016 0.750
Nb 0.508 0.492 0.750
Nb 0.984 0.492 0.750
Co 0.000 0.000 0.000
Co 0.000 0.000 0.500
Se 0.166 0.333 0.618
Se 0.166 0.333 0.882
Se 0.166 0.834 0.618
Se 0.166 0.834 0.882
Se 0.333 0.166 0.118
Se 0.333 0.166 0.382
Se 0.333 0.667 0.111
Se 0.333 0.667 0.389
Se 0.667 0.333 0.611
Se 0.667 0.333 0.889
Se 0.667 0.834 0.618
Se 0.667 0.834 0.882
Se 0.834 0.166 0.118
Se 0.834 0.166 0.382
Se 0.834 0.667 0.118
Se 0.834 0.667 0.382

Most intense lines, 2θ = 10–80°, low angle first:
- 2θ 14.27, rel. 27.5
- 2θ 30.38, rel. 57.6
- 2θ 32.91, rel. 43.2
- 2θ 36.77, rel. 51.4
- 2θ 41.66, rel. 100.0
- 2θ 52.32, rel. 51.7
- 2θ 60.49, rel. 14.9
- 2θ 69.00, rel. 21.0

Entry 9:
Structure and calculated X-ray diffraction stick pattern of NbCoSi (a PBE-relaxed structure; Cu Kα (λ = 1.5418 Å)).
Intensities are scaled so that the largest is 100.

Structural model:
Cell: 6.271 3.666 7.068 Å, 90.00 90.00 90.00°
Fractional coordinates of all 12 atoms:
Nb 0.020 0.250 0.180
Nb 0.480 0.750 0.680
Nb 0.520 0.250 0.320
Nb 0.980 0.750 0.820
Co 0.141 0.250 0.564
Co 0.359 0.750 0.064
Co 0.641 0.250 0.936
Co 0.859 0.750 0.436
Si 0.224 0.750 0.383
Si 0.276 0.250 0.883
Si 0.724 0.750 0.117
Si 0.776 0.250 0.617

Most intense lines, 2θ = 10–80°, low angle first:
- 2θ 37.76, rel. 26.5
- 2θ 38.18, rel. 100.0
- 2θ 39.93, rel. 90.0
- 2θ 40.92, rel. 39.2
- 2θ 45.24, rel. 26.2
- 2θ 45.78, rel. 28.5
- 2θ 49.75, rel. 35.2
- 2θ 75.00, rel. 23.7

Entry 10:
Structure and calculated X-ray diffraction stick pattern of Nb4Co3Si7 (a PBE-relaxed structure; Cu Kα (λ = 1.5418 Å)).
Intensities are scaled so that the largest is 100.

Structural model:
Cell: 12.521 9.397 8.985 Å, 85.84 48.46 45.70°
Fractional coordinates of all 28 atoms:
Nb 0.134 0.134 0.866
Nb 0.136 0.864 0.136
Nb 0.294 0.509 0.511
Nb 0.509 0.294 0.686
Nb 0.511 0.686 0.294
Nb 0.686 0.511 0.509
Nb 0.864 0.136 0.864
Nb 0.866 0.866 0.134
Co 0.099 0.099 0.401
Co 0.099 0.401 0.099
Co 0.401 0.099 0.401
Co 0.401 0.401 0.099
Co 0.635 0.865 0.635
Co 0.865 0.635 0.865
Si 0.013 0.487 0.487
Si 0.028 0.675 0.264
Si 0.033 0.264 0.675
Si 0.253 0.747 0.747
Si 0.264 0.033 0.028
Si 0.288 0.288 0.712
Si 0.293 0.707 0.293
Si 0.487 0.013 0.013
Si 0.608 0.608 0.892
Si 0.675 0.028 0.033
Si 0.707 0.293 0.707
Si 0.712 0.712 0.288
Si 0.747 0.253 0.253
Si 0.892 0.892 0.608

Most intense lines, 2θ = 10–80°, low angle first:
- 2θ 34.39, rel. 33.6
- 2θ 39.62, rel. 46.2
- 2θ 39.77, rel. 39.7
- 2θ 40.41, rel. 74.8
- 2θ 41.18, rel. 47.0
- 2θ 41.83, rel. 32.2
- 2θ 42.94, rel. 47.6
- 2θ 43.35, rel. 100.0

Entry 11:
Structure and calculated X-ray diffraction stick pattern of Nb3Co8Si (a PBE-relaxed structure; Cu Kα (λ = 1.5418 Å)).
Intensities are scaled so that the largest is 100.

Structural model:
Cell: 8.145 8.145 8.145 Å, 33.78 33.78 33.78°
Fractional coordinates of all 12 atoms:
Nb 0.000 0.000 0.000
Nb 0.126 0.126 0.126
Nb 0.510 0.510 0.510
Co 0.065 0.566 0.566
Co 0.067 0.067 0.564
Co 0.067 0.564 0.067
Co 0.315 0.315 0.315
Co 0.564 0.067 0.067
Co 0.566 0.065 0.566
Co 0.566 0.566 0.065
Co 0.816 0.816 0.816
Si 0.637 0.637 0.637

Most intense lines, 2θ = 10–80°, low angle first:
- 2θ 38.02, rel. 25.0
- 2θ 38.22, rel. 23.1
- 2θ 44.98, rel. 100.0
- 2θ 45.18, rel. 34.0
- 2θ 47.07, rel. 34.3
- 2θ 47.39, rel. 9.8
- 2θ 73.59, rel. 15.9
- 2θ 73.71, rel. 15.2